(1)
Calculated X-ray diffraction stick pattern of AcU2CdO8 for λ = 1.5418 Å (Cu Kα), from a crystal structure in Alexandria, relaxed with PBE.

Structural model:
abc: 5.568 5.568 10.826
angles: 90.00 90.00 90.00
Space group I-4 (No. 82)
Asymmetric unit:
Ac  0.000  0.000  0.000 [2 per cell]
U  0.000  0.000  0.500 [2 per cell]
U  0.000  0.500  0.250 [2 per cell]
Cd  0.000  0.500  0.750 [2 per cell]
O  0.212  0.765  0.390 [8 per cell]
O  0.227  0.260  0.356 [8 per cell]

Top 6 peaks for 5° ≤ 2θ ≤ 70°, by angle:
(1 1 2), d 3.184, 2θ 28.02, intensity 100; (2 0 0), d 2.784, 2θ 32.15, intensity 24; (2 2 0), d 1.969, 2θ 46.11, intensity 17; (2 0 4), d 1.941, 2θ 46.81, intensity 32; (3 1 2), d 1.674, 2θ 54.83, intensity 32; (1 1 6), d 1.640, 2θ 56.07, intensity 15

(2)
Calculated X-ray diffraction stick pattern of Ac12CdOs6 for λ = 1.5418 Å (Cu Kα), from a crystal structure in Alexandria, relaxed with PBE.

Structural model:
abc: 15.4339 15.4339 9.3207
angles: 90.00 90.00 120.00
Space group R-3 (No. 148, hexagonal axes)
Asymmetric unit:
Ac  0.0238  0.1687  0.1652 [18 per cell]
Ac  0.0369  0.2682  0.5684 [18 per cell]
Cd  0.0000  0.0000  0.5000 [3 per cell]
Os  0.0194  0.4541  0.5909 [18 per cell]

Top 6 peaks for 5° ≤ 2θ ≤ 70°, by angle:
(4 0 1), d 3.146, 2θ 28.37, intensity 83; (3 2 1), d 2.915, 2θ 30.67, intensity 100; (4 -1 2), d 2.901, 2θ 30.82, intensity 98; (2 -1 3), d 2.882, 2θ 31.03, intensity 66; (0 4 2), d 2.716, 2θ 32.98, intensity 40; (8 -5 1), d 1.870, 2θ 48.68, intensity 49

(3)
Calculated X-ray diffraction stick pattern of Ac6CdOs for λ = 1.5418 Å (Cu Kα), from a crystal structure in Alexandria, relaxed with PBE.

Structural model:
abc: 14.739 11.144 11.457
angles: 90.00 128.37 90.00
Space group C2/m (No. 12)
Asymmetric unit:
Ac  0.036  0.180  0.215 [8 per cell]
Ac  0.136  0.500  0.440 [4 per cell]
Ac  0.168  0.178  0.661 [8 per cell]
Ac  0.233  0.000  0.137 [4 per cell]
Cd  0.250  0.250  0.000 [4 per cell]
Os  0.250  0.250  0.500 [4 per cell]

Top 6 peaks for 5° ≤ 2θ ≤ 70°, by angle:
(1 3 0), d 3.542, 2θ 25.14, intensity 100; (4 0 -1), d 3.443, 2θ 25.88, intensity 50; (1 1 2), d 3.351, 2θ 26.60, intensity 62; (3 3 -1), d 2.931, 2θ 30.50, intensity 68; (2 2 2), d 2.506, 2θ 35.83, intensity 62; (6 2 -4), d 2.168, 2θ 41.65, intensity 52

(4)
Calculated X-ray diffraction stick pattern of Ac8Cd3Os2 for λ = 1.5418 Å (Cu Kα), from a crystal structure in Alexandria, relaxed with PBE.

Structural model:
abc: 16.732 8.666 7.094
angles: 90.00 90.47 90.00
Space group C2/m (No. 12)
Asymmetric unit:
Ac  0.126  0.000  0.330 [4 per cell]
Ac  0.152  0.259  0.834 [8 per cell]
Ac  0.164  0.500  0.329 [4 per cell]
Cd  0.000  0.311  0.500 [4 per cell]
Cd  0.000  0.500  0.000 [2 per cell]
Os  0.236  0.000  0.017 [4 per cell]

Top 6 peaks for 5° ≤ 2θ ≤ 70°, by angle:
(2 0 0), d 8.366, 2θ 10.57, intensity 25; (2 2 -1), d 3.383, 2θ 26.34, intensity 100; (2 0 2), d 3.256, 2θ 27.39, intensity 29; (4 2 1), d 2.765, 2θ 32.38, intensity 63; (4 0 -2), d 2.716, 2θ 32.98, intensity 32; (0 2 3), d 2.075, 2θ 43.61, intensity 38

(5)
Calculated X-ray diffraction stick pattern of Ac2CdP3Pd12 for λ = 1.5418 Å (Cu Kα), from a crystal structure in Alexandria, relaxed with PBE.

Structural model:
abc: 8.6242 8.6242 16.9168
angles: 90.00 90.00 120.00
Space group R-3m (No. 166, hexagonal axes)
Asymmetric unit:
Ac  0.0000  0.0000  0.1083 [6 per cell]
Cd  0.0000  0.0000  0.5000 [3 per cell]
P  0.0000  0.5000  0.0000 [9 per cell]
Pd  0.0155  0.5077  0.8667 [18 per cell]
Pd  0.0536  0.5268  0.3191 [18 per cell]

Top 6 peaks for 5° ≤ 2θ ≤ 70°, by angle:
(0 2 1), d 3.647, 2θ 24.41, intensity 36; (1 1 3), d 3.425, 2θ 26.02, intensity 29; (0 2 4), d 2.799, 2θ 31.97, intensity 61; (1 2 2), d 2.678, 2θ 33.46, intensity 46; (2 0 5), d 2.507, 2θ 35.81, intensity 82; (2 2 0), d 2.156, 2θ 41.90, intensity 100

(6)
Calculated X-ray diffraction stick pattern of AcCd2P2Pt7 for λ = 1.5418 Å (Cu Kα), from a crystal structure in Alexandria, relaxed with PBE.

Structural model:
abc: 5.729 5.728 14.944
angles: 90.00 101.01 90.00
Space group C2/m (No. 12)
Asymmetric unit:
Ac  0.000  0.000  0.000 [2 per cell]
Cd  0.201  0.000  0.406 [4 per cell]
P  0.126  0.500  0.253 [4 per cell]
Pt  0.000  0.500  0.000 [2 per cell]
Pt  0.166  0.250  0.830 [8 per cell]
Pt  0.200  0.500  0.404 [4 per cell]

Top 6 peaks for 5° ≤ 2θ ≤ 70°, by angle:
(0 0 1), d 14.669, 2θ 6.03, intensity 60; (0 0 5), d 2.934, 2θ 30.47, intensity 49; (2 0 -3), d 2.668, 2θ 33.59, intensity 69; (2 0 2), d 2.471, 2θ 36.35, intensity 100; (2 2 -1), d 2.025, 2θ 44.75, intensity 56; (2 2 -6), d 1.667, 2θ 55.10, intensity 38

(7)
Calculated X-ray diffraction stick pattern of Ac4Cd6Pb7 for λ = 1.5418 Å (Cu Kα), from a crystal structure in Alexandria, relaxed with PBE.

Structural model:
abc: 10.136 10.136 10.136
angles: 90.00 90.00 90.00
Space group Im-3m (No. 229)
Asymmetric unit:
Ac  0.250  0.250  0.250 [8 per cell]
Cd  0.000  0.000  0.305 [12 per cell]
Pb  0.000  0.000  0.000 [2 per cell]
Pb  0.000  0.250  0.500 [12 per cell]

Top 6 peaks for 5° ≤ 2θ ≤ 70°, by angle:
(2 2 2), d 2.926, 2θ 30.55, intensity 100; (3 2 1), d 2.709, 2θ 33.07, intensity 25; (4 0 0), d 2.534, 2θ 35.42, intensity 68; (3 3 2), d 2.161, 2θ 41.80, intensity 15; (4 4 0), d 1.792, 2θ 50.97, intensity 43; (6 2 2), d 1.528, 2θ 60.60, intensity 34

(8)
Calculated X-ray diffraction stick pattern of AcCd2Pb2 for λ = 1.5418 Å (Cu Kα), from a crystal structure in Alexandria, relaxed with PBE.

Structural model:
abc: 4.873 24.641 4.885
angles: 90.00 90.00 90.00
Space group Cmcm (No. 63)
Asymmetric unit:
Ac  0.000  0.143  0.250 [4 per cell]
Cd  0.000  0.036  0.750 [4 per cell]
Cd  0.000  0.460  0.750 [4 per cell]
Pb  0.000  0.251  0.750 [4 per cell]
Pb  0.000  0.374  0.250 [4 per cell]

Top 6 peaks for 5° ≤ 2θ ≤ 70°, by angle:
(1 3 1), d 3.181, 2θ 28.05, intensity 19; (1 5 1), d 2.826, 2θ 31.66, intensity 100; (2 0 0), d 2.439, 2θ 36.85, intensity 41; (2 0 2), d 1.725, 2θ 53.10, intensity 14; (1 5 3), d 1.474, 2θ 63.09, intensity 14; (3 5 1), d 1.471, 2θ 63.21, intensity 14

(9)
Calculated X-ray diffraction stick pattern of Ac2CdPb2 for λ = 1.5418 Å (Cu Kα), from a crystal structure in Alexandria, relaxed with PBE.

Structural model:
abc: 8.323 8.323 9.962
angles: 90.00 90.00 90.00
Space group P4/mnc (No. 128)
Asymmetric unit:
Ac  0.175  0.325  0.000 [8 per cell]
Cd  0.000  0.000  0.248 [4 per cell]
Pb  0.131  0.631  0.250 [8 per cell]

Top 6 peaks for 5° ≤ 2θ ≤ 70°, by angle:
(2 0 2), d 3.194, 2θ 27.94, intensity 18; (2 1 2), d 2.982, 2θ 29.97, intensity 100; (3 1 0), d 2.632, 2θ 34.06, intensity 27; (0 0 4), d 2.490, 2θ 36.06, intensity 19; (3 1 4), d 1.809, 2θ 50.45, intensity 18; (2 1 6), d 1.516, 2θ 61.12, intensity 14

(10)
Calculated X-ray diffraction stick pattern of Ac4CdPb8 for λ = 1.5418 Å (Cu Kα), from a crystal structure in Alexandria, relaxed with PBE.

Structural model:
abc: 4.746 4.916 18.889
angles: 90.00 90.00 90.00
Space group Pmm2 (No. 25)
Asymmetric unit:
Ac  0.000  0.000  0.000 [1 per cell]
Ac  0.000  0.500  0.477 [1 per cell]
Ac  0.500  0.000  0.793 [1 per cell]
Ac  0.500  0.500  0.285 [1 per cell]
Cd  0.000  0.500  0.715 [1 per cell]
Pb  0.000  0.000  0.322 [1 per cell]
Pb  0.000  0.000  0.620 [1 per cell]
Pb  0.000  0.500  0.139 [1 per cell]
Pb  0.000  0.500  0.866 [1 per cell]
Pb  0.500  0.000  0.146 [1 per cell]
Pb  0.500  0.000  0.437 [1 per cell]
Pb  0.500  0.500  0.618 [1 per cell]
Pb  0.500  0.500  0.979 [1 per cell]

Top 6 peaks for 5° ≤ 2θ ≤ 70°, by angle:
(0 0 6), d 3.148, 2θ 28.35, intensity 13; (1 1 3), d 3.001, 2θ 29.77, intensity 100; (0 2 0), d 2.458, 2θ 36.56, intensity 19; (2 0 0), d 2.373, 2θ 37.91, intensity 17; (2 2 0), d 1.707, 2θ 53.69, intensity 13; (1 3 3), d 1.504, 2θ 61.67, intensity 12

(11)
Calculated X-ray diffraction stick pattern of AcCd9Pb2 for λ = 1.5418 Å (Cu Kα), from a crystal structure in Alexandria, relaxed with PBE.

Structural model:
abc: 6.1435 6.1435 28.5626
angles: 90.00 90.00 120.00
Space group R-3m (No. 166, hexagonal axes)
Asymmetric unit:
Ac  0.0000  0.0000  0.0000 [3 per cell]
Cd  0.0000  0.0000  0.3336 [6 per cell]
Cd  0.0000  0.0000  0.5000 [3 per cell]
Cd  0.0055  0.5028  0.9155 [18 per cell]
Pb  0.0000  0.0000  0.1361 [6 per cell]

Top 6 peaks for 5° ≤ 2θ ≤ 70°, by angle:
(1 0 7), d 3.238, 2θ 27.55, intensity 31; (1 1 0), d 3.072, 2θ 29.07, intensity 48; (0 1 8), d 2.965, 2θ 30.14, intensity 37; (0 2 1), d 2.649, 2θ 33.84, intensity 42; (1 1 6), d 2.581, 2θ 34.76, intensity 100; (2 2 0), d 1.536, 2θ 60.26, intensity 30

(12)
Calculated X-ray diffraction stick pattern of Ac2CdPd4Pb3 for λ = 1.5418 Å (Cu Kα), from a crystal structure in Alexandria, relaxed with PBE.

Structural model:
abc: 4.777 4.777 11.031
angles: 90.00 90.00 90.00
Space group P-4m2 (No. 115)
Asymmetric unit:
Ac  0.000  0.500  0.242 [2 per cell]
Cd  0.000  0.000  0.500 [1 per cell]
Pd  0.000  0.000  0.000 [1 per cell]
Pd  0.000  0.500  0.630 [2 per cell]
Pd  0.500  0.500  0.000 [1 per cell]
Pb  0.000  0.500  0.875 [2 per cell]
Pb  0.500  0.500  0.500 [1 per cell]

Top 6 peaks for 5° ≤ 2θ ≤ 70°, by angle:
(1 0 3), d 2.914, 2θ 30.69, intensity 78; (1 1 2), d 2.880, 2θ 31.05, intensity 100; (2 0 0), d 2.388, 2θ 37.66, intensity 80; (1 0 5), d 2.003, 2θ 45.28, intensity 33; (2 1 3), d 1.847, 2θ 49.34, intensity 43; (2 2 0), d 1.689, 2θ 54.32, intensity 28